[1]
Cs2NbI5Br: computed powder diffraction line list (Cu Ka), based on a DFT-relaxed cell (PBE, Alexandria).

Top 12 peaks for 2θ from 10° to 90°, low angle first:
2θ = 13.1°, I 17, (1 0 1)
2θ = 26.3°, I 100, (2 0 2)
2θ = 30.2°, I 52, (2 2 0)
2θ = 31.1°, I 24, (0 0 4)
2θ = 43.2°, I 19, (4 0 0)
2θ = 43.8°, I 36, (2 2 4)
2θ = 51.3°, I 30, (4 2 2)
2θ = 52.4°, I 14, (2 0 6)
2θ = 54.1°, I 19, (4 0 4)
2θ = 70.2°, I 11, (4 2 6)
2θ = 71.2°, I 8, (6 2 0)
2θ = 79.7°, I 12, (6 2 4)

a b c (Å): 8.3786 8.3786 11.5181
angles (deg): 90.00 90.00 90.00
Space group I4mm (No. 107)
One atom of each set of equivalent atoms:
Cs: 0.0000 0.5000 0.0000 (multiplicity 4)
Nb: 0.0000 0.0000 0.2475 (multiplicity 2)
I: 0.0000 0.0000 0.4921 (multiplicity 2)
I: 0.2393 0.2393 0.2497 (multiplicity 8)
Br: 0.0000 0.0000 0.0237 (multiplicity 2)



[2]
K2LiH6Os: computed powder diffraction line list (Cu Ka), based on a DFT-relaxed cell (PBE, Alexandria).

Top 12 peaks for 2θ from 10° to 90°, low angle first:
2θ = 17.7°, I 44, (0 0 1)
2θ = 17.8°, I 75, (1 0 0)
2θ = 25.2°, I 100, (0 1 1)
2θ = 31.2°, I 62, (1 1 0)
2θ = 36.1°, I 56, (1 1 1)
2θ = 40.3°, I 43, (0 1 2)
2θ = 40.5°, I 29, (2 0 1)
2θ = 51.8°, I 22, (2 0 2)
2θ = 52.0°, I 28, (1 2 1)
2θ = 58.3°, I 12, (1 0 3)
2θ = 61.7°, I 25, (1 2 2)
2θ = 79.3°, I 12, (3 1 2)

a b c (Å): 5.7403 5.7403 5.0097
angles (deg): 90.00 90.00 120.00
Space group P-3m1 (No. 164)
One atom of each set of equivalent atoms:
K: 0.3333 0.6667 0.2205 (multiplicity 2)
Li: 0.0000 0.0000 0.5000 (multiplicity 1)
H: 0.1400 0.2800 0.7923 (multiplicity 6)
Os: 0.0000 0.0000 0.0000 (multiplicity 1)